Structure and simulated PXRD pattern of Ti2AlH3 (a GGA-PBE-relaxed structure; Cu Kα, 1.54184 Å).

Peak list (10 most intense, 2θ from 10° to 80°, in order of falling intensity)
2theta, Rel. int.
37.44, 100
42.64, 67
35.77, 54
36.68, 53
43.10, 24
62.85, 17
61.63, 16
73.67, 15
60.22, 12
32.23, 12

Structure:
```
data_Ti2AlH3
_chemical_formula_sum 'Ti4 Al2 H6'
_cell_length_a 5.3211
_cell_length_b 5.3211
_cell_length_c 8.3974
_cell_angle_alpha 114.63
_cell_angle_beta 114.63
_cell_angle_gamma 31.96
_symmetry_space_group_name_H-M 'P 1'
_symmetry_Int_Tables_number 1
loop_
_symmetry_equiv_pos_as_xyz
'x,y,z'
loop_
_atom_site_label
_atom_site_type_symbol
_atom_site_fract_x
_atom_site_fract_y
_atom_site_fract_z
Ti1 Ti 0.0056 0.0056 0.2212
Ti2 Ti 0.3314 0.3314 0.4030
Ti3 Ti 0.6686 0.6686 0.5970
Ti4 Ti 0.9944 0.9944 0.7788
Al1 Al 0.3396 0.3396 0.9240
Al2 Al 0.6604 0.6604 0.0760
H1 H 0.1583 0.1583 0.7313
H2 H 0.1657 0.1657 0.4497
H3 H 0.4983 0.4983 0.6364
H4 H 0.5017 0.5017 0.3636
H5 H 0.8343 0.8343 0.5503
H6 H 0.8417 0.8417 0.2687
```

***

Structure and simulated PXRD pattern of Ac5Pr2DyY (a GGA-PBE-relaxed structure; Cu Kα, 1.54184 Å).

Peak list (10 most intense, 2θ from 10° to 80°, in order of falling intensity)
2theta, Rel. int.
29.63, 100
30.58, 35
28.84, 31
25.05, 21
53.77, 19
32.30, 16
24.80, 14
53.35, 13
45.07, 13
55.97, 12

Structure:
```
data_Ac5Pr2DyY
_chemical_formula_sum 'Ac10 Pr4 Dy2 Y2'
_cell_length_a 11.7527
_cell_length_b 11.7527
_cell_length_c 11.0872
_cell_angle_alpha 90.00
_cell_angle_beta 90.00
_cell_angle_gamma 151.20
_symmetry_space_group_name_H-M 'P 1'
_symmetry_Int_Tables_number 1
loop_
_symmetry_equiv_pos_as_xyz
'x,y,z'
loop_
_atom_site_label
_atom_site_type_symbol
_atom_site_fract_x
_atom_site_fract_y
_atom_site_fract_z
Ac1 Ac 0.0000 0.0000 0.0000
Ac2 Ac 0.0000 0.0000 0.5000
Ac3 Ac 0.1308 0.8692 0.7500
Ac4 Ac 0.2190 0.7810 0.0637
Ac5 Ac 0.2190 0.7810 0.4363
Ac6 Ac 0.4969 0.5031 0.7500
Ac7 Ac 0.5031 0.4969 0.2500
Ac8 Ac 0.7810 0.2190 0.5637
Ac9 Ac 0.7810 0.2190 0.9363
Ac10 Ac 0.8692 0.1308 0.2500
Pr1 Pr 0.3860 0.6140 0.0081
Pr2 Pr 0.3860 0.6140 0.4919
Pr3 Pr 0.6140 0.3860 0.5081
Pr4 Pr 0.6140 0.3860 0.9919
Dy1 Dy 0.3035 0.6965 0.7500
Dy2 Dy 0.6965 0.3035 0.2500
Y1 Y 0.0993 0.9007 0.2500
Y2 Y 0.9007 0.0993 0.7500
```

***

Structure and simulated PXRD pattern of Ba2TlH6Rh (a GGA-PBE-relaxed structure; Cu Kα, 1.54184 Å).

Peak list (10 most intense, 2θ from 10° to 80°, in order of falling intensity)
2theta, Rel. int.
30.73, 100
22.70, 72
33.83, 66
46.35, 32
58.60, 32
19.34, 26
54.26, 16
41.13, 16
60.34, 15
79.49, 13

Structure:
```
data_Ba2TlH6Rh
_chemical_formula_sum 'Ba2 Tl1 H6 Rh1'
_cell_length_a 5.2991
_cell_length_b 5.2991
_cell_length_c 7.5251
_cell_angle_alpha 90.00
_cell_angle_beta 90.00
_cell_angle_gamma 120.00
_symmetry_space_group_name_H-M 'P 1'
_symmetry_Int_Tables_number 1
loop_
_symmetry_equiv_pos_as_xyz
'x,y,z'
loop_
_atom_site_label
_atom_site_type_symbol
_atom_site_fract_x
_atom_site_fract_y
_atom_site_fract_z
Ba1 Ba 0.3333 0.6667 0.2928
Ba2 Ba 0.6667 0.3333 0.7072
Tl1 Tl 0.0000 0.0000 0.0000
H1 H 0.1519 0.3039 0.6245
H2 H 0.1519 0.8481 0.6245
H3 H 0.3039 0.1519 0.3755
H4 H 0.6961 0.8481 0.6245
H5 H 0.8481 0.1519 0.3755
H6 H 0.8481 0.6961 0.3755
Rh1 Rh 0.0000 0.0000 0.5000
```

***

Structure and simulated PXRD pattern of ZnIn17Hg11 (a GGA-PBE-relaxed structure; Cu Kα, 1.54184 Å).

Peak list (10 most intense, 2θ from 10° to 80°, in order of falling intensity)
2theta, Rel. int.
31.11, 100
31.80, 93
34.01, 79
32.19, 69
34.07, 65
33.25, 48
32.78, 42
33.36, 39
30.06, 36
39.98, 36

Structure:
```
data_ZnIn17Hg11
_chemical_formula_sum 'Zn1 In17 Hg11'
_cell_length_a 8.8201
_cell_length_b 9.1862
_cell_length_c 11.1122
_cell_angle_alpha 106.95
_cell_angle_beta 109.47
_cell_angle_gamma 100.52
_symmetry_space_group_name_H-M 'P 1'
_symmetry_Int_Tables_number 1
loop_
_symmetry_equiv_pos_as_xyz
'x,y,z'
loop_
_atom_site_label
_atom_site_type_symbol
_atom_site_fract_x
_atom_site_fract_y
_atom_site_fract_z
Zn1 Zn 0.0000 0.0000 0.0000
In1 In 0.0428 0.8336 0.7416
In2 In 0.0762 0.5351 0.0222
In3 In 0.2391 0.1468 0.6627
In4 In 0.2589 0.4845 0.3135
In5 In 0.2767 0.1279 0.2833
In6 In 0.2974 0.8614 0.0386
In7 In 0.3072 0.2779 0.0448
In8 In 0.3290 0.8769 0.4658
In9 In 0.6495 0.8888 0.7324
In10 In 0.6539 0.5250 0.0855
In11 In 0.6585 0.2957 0.8089
In12 In 0.6627 0.5952 0.4889
In13 In 0.6947 0.9188 0.0898
In14 In 0.9402 0.4439 0.6557
In15 In 0.9488 0.5661 0.3698
In16 In 0.9619 0.1706 0.7841
In17 In 0.9967 0.2146 0.3986
Hg1 Hg 0.0043 0.8124 0.2154
Hg2 Hg 0.2775 0.6686 0.6408
Hg3 Hg 0.3354 0.5224 0.8606
Hg4 Hg 0.4401 0.3966 0.5853
Hg5 Hg 0.4542 0.0461 0.8897
Hg6 Hg 0.4971 0.7399 0.2557
Hg7 Hg 0.6264 0.2538 0.2589
Hg8 Hg 0.6372 0.1194 0.4904
Hg9 Hg 0.7874 0.6611 0.8653
Hg10 Hg 0.8763 0.9045 0.4620
Hg11 Hg 0.8801 0.2572 0.0902
```

***

Structure and simulated PXRD pattern of TbTl3Pd7 (a GGA-PBE-relaxed structure; Cu Kα, 1.54184 Å).

Peak list (10 most intense, 2θ from 10° to 80°, in order of falling intensity)
2theta, Rel. int.
37.91, 100
33.10, 67
36.63, 64
28.78, 39
45.71, 37
50.19, 36
22.18, 25
34.49, 22
45.26, 16
56.28, 15

Structure:
```
data_TbTl3Pd7
_chemical_formula_sum 'Tb1 Tl3 Pd7'
_cell_length_a 6.5507
_cell_length_b 6.5507
_cell_length_c 5.6312
_cell_angle_alpha 104.71
_cell_angle_beta 104.71
_cell_angle_gamma 97.00
_symmetry_space_group_name_H-M 'P 1'
_symmetry_Int_Tables_number 1
loop_
_symmetry_equiv_pos_as_xyz
'x,y,z'
loop_
_atom_site_label
_atom_site_type_symbol
_atom_site_fract_x
_atom_site_fract_y
_atom_site_fract_z
Tb1 Tb 0.0000 0.0000 0.0000
Tl1 Tl 0.2729 0.7271 0.5000
Tl2 Tl 0.5000 0.5000 0.0000
Tl3 Tl 0.7271 0.2729 0.5000
Pd1 Pd 0.0000 0.0000 0.5000
Pd2 Pd 0.0857 0.5660 0.8235
Pd3 Pd 0.3000 0.3000 0.4513
Pd4 Pd 0.4340 0.9143 0.1765
Pd5 Pd 0.5660 0.0857 0.8235
Pd6 Pd 0.7000 0.7000 0.5487
Pd7 Pd 0.9143 0.4340 0.1765
```

***

Structure and simulated PXRD pattern of Tb4AgRh2Au (a GGA-PBE-relaxed structure; Cu Kα, 1.54184 Å).

Peak list (10 most intense, 2θ from 10° to 80°, in order of falling intensity)
2theta, Rel. int.
35.92, 100
64.54, 27
51.70, 18
64.60, 9
76.20, 6
76.09, 6
21.77, 2
10.82, 1
20.84, 1
25.19, 1

Structure:
```
data_Tb4AgRh2Au
_chemical_formula_sum 'Tb4 Ag1 Rh2 Au1'
_cell_length_a 8.6704
_cell_length_b 8.6704
_cell_length_c 8.6704
_cell_angle_alpha 33.50
_cell_angle_beta 33.50
_cell_angle_gamma 33.50
_symmetry_space_group_name_H-M 'P 1'
_symmetry_Int_Tables_number 1
loop_
_symmetry_equiv_pos_as_xyz
'x,y,z'
loop_
_atom_site_label
_atom_site_type_symbol
_atom_site_fract_x
_atom_site_fract_y
_atom_site_fract_z
Tb1 Tb 0.1242 0.1242 0.1242
Tb2 Tb 0.3744 0.3744 0.3744
Tb3 Tb 0.6256 0.6256 0.6256
Tb4 Tb 0.8758 0.8758 0.8758
Ag1 Ag 0.5000 0.5000 0.5000
Rh1 Rh 0.2477 0.2477 0.2477
Rh2 Rh 0.7523 0.7523 0.7523
Au1 Au 0.0000 0.0000 0.0000
```